1.
The following is a computed powder diffraction line list of Pm2ThPb9. It was derived from the PBE geometry in Alexandria, using Cu Ka.
Lines closer than 0.1° are merged.

The 12 most intense peaks (15° ≤ 2θ ≤ 90°), sorted by position:
2θ = 31.53°, I 100.0, hkl 1 1 3
2θ = 36.48°, I 17.0, hkl 0 0 6
2θ = 36.61°, I 33.9, hkl 2 0 0
2θ = 52.67°, I 36.4, hkl 2 2 0
2θ = 62.58°, I 14.5, hkl 1 1 9
2θ = 62.75°, I 29.0, hkl 3 1 3
2θ = 65.82°, I 12.6, hkl 2 2 6
2θ = 77.82°, I 4.0, hkl 4 0 0
2θ = 86.22°, I 12.7, hkl 3 1 9
2θ = 86.37°, I 6.4, hkl 3 3 3
2θ = 88.91°, I 6.0, hkl 2 0 12
2θ = 89.18°, I 12.0, hkl 4 2 0

Atomic structure:
```
12
Lattice="4.9096 0.0000 0.0000 0.0000 4.9096 0.0000 0.0000 0.0000 14.7778" Properties=species:S:1:pos:R:3 pbc="T T T"
Pm 0.0000 0.0000 2.5240
Pm 0.0000 0.0000 12.2538
Th 0.0000 0.0000 7.3889
Pb 0.0000 2.4548 0.0000
Pb 0.0000 2.4548 4.9333
Pb 0.0000 2.4548 9.8445
Pb 2.4548 0.0000 0.0000
Pb 2.4548 0.0000 4.9333
Pb 2.4548 0.0000 9.8445
Pb 2.4548 2.4548 2.4567
Pb 2.4548 2.4548 7.3889
Pb 2.4548 2.4548 12.3211
```

2.
The following is a computed powder diffraction line list of SmGe6. It was derived from the PBE geometry in Alexandria, using Cu Ka.
Lines closer than 0.1° are merged.

The 11 most intense peaks (15° ≤ 2θ ≤ 90°), sorted by position:
2θ = 25.27°, I 42.5, hkl 2 0 0
2θ = 31.08°, I 100.0, hkl 2 1 1
2θ = 44.53°, I 12.4, hkl 2 2 2
2θ = 48.31°, I 58.2, hkl 3 2 1
2θ = 51.89°, I 23.5, hkl 4 0 0
2θ = 58.57°, I 16.3, hkl 4 2 0
2θ = 61.73°, I 13.8, hkl 3 3 2
2θ = 73.60°, I 16.4, hkl 5 2 1
2θ = 76.44°, I 14.6, hkl 4 4 0
2θ = 82.03°, I 7.7, hkl 6 0 0
2θ = 84.79°, I 17.1, hkl 6 1 1

Atomic structure:
```
14
Lattice="7.0486 0.0000 0.0000 0.0000 7.0486 0.0000 0.0000 0.0000 7.0486" Properties=species:S:1:pos:R:3 pbc="T T T"
Sm 0.0000 0.0000 0.0000
Sm 3.5243 3.5243 3.5243
Ge 0.0000 1.7621 3.5243
Ge 0.0000 3.5243 1.7621
Ge 0.0000 3.5243 5.2864
Ge 0.0000 5.2864 3.5243
Ge 1.7621 0.0000 3.5243
Ge 1.7621 3.5243 0.0000
Ge 3.5243 0.0000 1.7621
Ge 3.5243 0.0000 5.2864
Ge 3.5243 1.7621 0.0000
Ge 3.5243 5.2864 0.0000
Ge 5.2864 0.0000 3.5243
Ge 5.2864 3.5243 0.0000
```

3.
The following is a computed powder diffraction line list of ZnGa3Ag6. It was derived from the PBE geometry in Alexandria, using Cu Ka.
Lines closer than 0.1° are merged.

The 12 most intense peaks (15° ≤ 2θ ≤ 90°), sorted by position:
2θ = 34.97°, I 25.3, hkl 2 1 -1
2θ = 36.79°, I 25.8, hkl 1 1 2
2θ = 37.95°, I 28.0, hkl 1 1 -3
2θ = 38.72°, I 29.6, hkl 0 1 3
2θ = 39.41°, I 55.0, hkl 2 1 -3
2θ = 39.69°, I 64.9, hkl 4 0 1
2θ = 39.79°, I 75.5, hkl 0 0 5
2θ = 39.97°, I 100.0, hkl 4 0 -4
2θ = 41.34°, I 33.6, hkl 2 1 2
2θ = 46.57°, I 28.9, hkl 4 1 -1
2θ = 77.09°, I 39.1, hkl 0 2 5
2θ = 77.22°, I 22.8, hkl 4 2 -4

Atomic structure:
```
20
Lattice="10.4558 0.0000 0.0000 0.0000 2.9521 0.0000 -3.8405 0.0000 11.3283" Properties=species:S:1:pos:R:3 pbc="T T T"
Zn 0.0547 0.7380 2.1563
Zn 6.5606 2.2141 9.1720
Ga -1.4560 0.7380 4.4554
Ga 3.9695 0.7380 0.0099
Ga 2.7121 0.7380 6.7525
Ga 3.9032 2.2141 4.5758
Ga 2.6459 2.2141 11.3184
Ga 8.0713 2.2141 6.8729
Ag 1.3619 2.2141 0.2111
Ag -1.5397 0.7380 9.1547
Ag 0.0386 0.7380 6.7179
Ag 1.0745 2.2141 4.4206
Ag 2.7072 0.7380 2.4466
Ag 1.0458 2.2141 9.0406
Ag 5.5696 0.7380 2.2876
Ag 3.9081 2.2141 8.8817
Ag 5.5408 0.7380 6.9077
Ag 6.5767 2.2141 4.6104
Ag 8.1551 2.2141 2.1736
Ag 5.2534 0.7380 11.1172
```

4.
The following is a computed powder diffraction line list of CaAcNiN2. It was derived from the PBE geometry in Alexandria, using Cu Ka.
Lines closer than 0.1° are merged.

The 12 most intense peaks (15° ≤ 2θ ≤ 90°), sorted by position:
2θ = 15.36°, I 18.9, hkl 0 1 0
2θ = 18.57°, I 67.2, hkl 1 0 0
2θ = 24.19°, I 47.5, hkl 1 1 0
2θ = 29.89°, I 43.3, hkl 0 1 2
2θ = 31.00°, I 29.8, hkl 0 2 0
2θ = 35.42°, I 100.0, hkl 1 1 2
2θ = 36.38°, I 25.5, hkl 1 2 0
2θ = 37.66°, I 17.9, hkl 2 0 0
2θ = 40.55°, I 16.0, hkl 0 2 2
2θ = 48.81°, I 22.6, hkl 2 1 2
2θ = 49.55°, I 22.0, hkl 2 2 0
2θ = 58.04°, I 23.8, hkl 1 3 2

Atomic structure:
```
10
Lattice="4.7770 0.0000 0.0000 0.0000 5.7701 0.0000 0.0000 0.0000 6.9891" Properties=species:S:1:pos:R:3 pbc="T T T"
Ca 0.0000 0.0000 1.7473
Ca 0.0000 0.0000 5.2418
Ac 2.3885 2.8851 1.7473
Ac 2.3885 2.8851 5.2418
Ni 2.3885 0.0000 0.0000
Ni 2.3885 0.0000 3.4945
N 1.2222 1.3957 0.0000
N 1.2222 4.3744 3.4945
N 3.5548 1.3957 3.4945
N 3.5548 4.3744 0.0000
```